For Mg3H6SeO3, DFT lattice parameters and positions (GGA-PBE) gives the calculated X-ray diffraction stick pattern in this record (Cu Ka).

Largest 10 diffraction maxima, sorted by position, 2θ from 10° to 90°:
| 2θ/deg | Rel. int. |
| --- | --- |
| 13.66 | 100 |
| 17.59 | 23 |
| 17.98 | 23 |
| 20.14 | 39 |
| 24.35 | 18 |
| 28.14 | 13 |
| 30.87 | 21 |
| 34.90 | 13 |
| 35.65 | 33 |
| 42.26 | 14 |

Crystal structure
a b c (Å): 5.933 5.947 6.790
angles (deg): 73.89 87.42 60.25
Atoms (fractional coordinates):
Mg: 0.000 0.000 0.000
Mg: 0.207 0.369 0.071
Mg: 0.614 0.606 0.937
H: 0.013 0.500 0.398
H: 0.264 0.199 0.489
H: 0.311 0.786 0.685
H: 0.501 0.794 0.495
H: 0.764 0.144 0.492
H: 0.772 0.204 0.574
Se: 0.636 0.892 0.155
O: 0.192 0.373 0.377
O: 0.253 0.673 0.933
O: 0.440 0.845 0.623



For NaZn3Au10, DFT lattice parameters and positions (GGA-PBE) gives the calculated X-ray diffraction stick pattern in this record (Cu Ka).

Largest 10 diffraction maxima, sorted by position, 2θ from 10° to 90°:
| 2θ/deg | Rel. int. |
| --- | --- |
| 19.44 | 27 |
| 36.15 | 100 |
| 39.48 | 21 |
| 41.37 | 53 |
| 41.98 | 25 |
| 60.88 | 17 |
| 64.56 | 15 |
| 65.90 | 16 |
| 71.60 | 19 |
| 86.21 | 15 |

Crystal structure
a b c (Å): 9.130 9.130 9.130
angles (deg): 60.00 60.00 60.00
Atoms (fractional coordinates):
Na: 0.250 0.250 0.250
Na: 0.750 0.750 0.750
Zn: 0.228 0.228 0.772
Zn: 0.228 0.772 0.228
Zn: 0.228 0.772 0.772
Zn: 0.772 0.228 0.228
Zn: 0.772 0.228 0.772
Zn: 0.772 0.772 0.228
Au: 0.121 0.121 0.121
Au: 0.121 0.121 0.637
Au: 0.121 0.637 0.121
Au: 0.156 0.500 0.500
Au: 0.156 0.500 0.844
Au: 0.156 0.844 0.500
Au: 0.363 0.879 0.879
Au: 0.500 0.156 0.500
Au: 0.500 0.156 0.844
Au: 0.500 0.500 0.156
Au: 0.500 0.500 0.844
Au: 0.500 0.844 0.156
Au: 0.500 0.844 0.500
Au: 0.637 0.121 0.121
Au: 0.844 0.156 0.500
Au: 0.844 0.500 0.156
Au: 0.844 0.500 0.500
Au: 0.879 0.363 0.879
Au: 0.879 0.879 0.363
Au: 0.879 0.879 0.879



For CsRb2Zr3O8, DFT lattice parameters and positions (GGA-PBE) gives the calculated X-ray diffraction stick pattern in this record (Cu Ka).

Largest 10 diffraction maxima, sorted by position, 2θ from 10° to 90°:
| 2θ/deg | Rel. int. |
| --- | --- |
| 23.13 | 42 |
| 25.95 | 26 |
| 26.57 | 44 |
| 29.77 | 100 |
| 31.26 | 36 |
| 43.91 | 34 |
| 47.11 | 27 |
| 47.28 | 36 |
| 49.12 | 25 |
| 55.06 | 36 |

Crystal structure
a b c (Å): 7.873 7.873 7.873
angles (deg): 50.15 50.15 50.15
Atoms (fractional coordinates):
Cs: 0.000 0.000 0.000
Rb: 0.264 0.264 0.264
Rb: 0.634 0.634 0.634
Zr: 0.136 0.634 0.634
Zr: 0.634 0.136 0.634
Zr: 0.634 0.634 0.136
O: 0.374 0.374 0.813
O: 0.374 0.813 0.374
O: 0.413 0.413 0.413
O: 0.462 0.890 0.890
O: 0.813 0.374 0.374
O: 0.855 0.855 0.855
O: 0.890 0.462 0.890
O: 0.890 0.890 0.462



For Na3YF8, DFT lattice parameters and positions (GGA-PBE) gives the calculated X-ray diffraction stick pattern in this record (Cu Ka).

Largest 10 diffraction maxima, sorted by position, 2θ from 10° to 90°:
| 2θ/deg | Rel. int. |
| --- | --- |
| 15.51 | 24 |
| 18.12 | 60 |
| 23.21 | 13 |
| 28.04 | 100 |
| 28.65 | 12 |
| 46.18 | 86 |
| 47.45 | 40 |
| 53.76 | 15 |
| 56.02 | 26 |
| 87.42 | 19 |

Crystal structure
a b c (Å): 6.879 6.879 6.879
angles (deg): 133.60 133.60 67.72
Atoms (fractional coordinates):
Na: 0.000 0.000 0.000
Na: 0.250 0.750 0.500
Na: 0.750 0.250 0.500
Y: 0.500 0.500 0.000
F: 0.142 0.142 0.521
F: 0.142 0.621 0.000
F: 0.379 0.379 0.521
F: 0.379 0.858 0.000
F: 0.621 0.142 0.000
F: 0.621 0.621 0.479
F: 0.858 0.379 0.000
F: 0.858 0.858 0.479



For LaNd6Tm4, DFT lattice parameters and positions (GGA-PBE) gives the calculated X-ray diffraction stick pattern in this record (Cu Ka).

Largest 10 diffraction maxima, sorted by position, 2θ from 10° to 90°:
| 2θ/deg | Rel. int. |
| --- | --- |
| 29.88 | 67 |
| 30.24 | 60 |
| 30.46 | 80 |
| 31.50 | 100 |
| 31.70 | 42 |
| 32.78 | 69 |
| 43.45 | 45 |
| 54.80 | 23 |
| 55.57 | 33 |
| 56.70 | 18 |

Crystal structure
a b c (Å): 5.684 5.684 26.044
angles (deg): 90.00 90.00 117.83
Atoms (fractional coordinates):
La: 0.206 0.794 0.750
La: 0.794 0.206 0.250
Nd: 0.127 0.873 0.180
Nd: 0.127 0.873 0.320
Nd: 0.195 0.805 0.597
Nd: 0.195 0.805 0.903
Nd: 0.454 0.546 0.250
Nd: 0.500 0.500 0.000
Nd: 0.500 0.500 0.500
Nd: 0.546 0.454 0.750
Nd: 0.805 0.195 0.097
Nd: 0.805 0.195 0.403
Nd: 0.873 0.127 0.680
Nd: 0.873 0.127 0.820
Tm: 0.153 0.847 0.044
Tm: 0.153 0.847 0.456
Tm: 0.462 0.538 0.124
Tm: 0.462 0.538 0.376
Tm: 0.538 0.462 0.624
Tm: 0.538 0.462 0.876
Tm: 0.847 0.153 0.544
Tm: 0.847 0.153 0.956



For Pr2Sm3Sc, DFT lattice parameters and positions (GGA-PBE) gives the calculated X-ray diffraction stick pattern in this record (Cu Ka).

Largest 10 diffraction maxima, sorted by position, 2θ from 10° to 90°:
| 2θ/deg | Rel. int. |
| --- | --- |
| 30.42 | 100 |
| 30.55 | 33 |
| 35.23 | 23 |
| 35.34 | 45 |
| 50.66 | 16 |
| 50.81 | 16 |
| 50.91 | 16 |
| 60.20 | 9 |
| 60.37 | 28 |
| 60.46 | 9 |

Crystal structure
a b c (Å): 6.215 8.035 8.822
angles (deg): 111.43 90.32 104.74
Atoms (fractional coordinates):
Pr: 0.050 0.381 0.297
Pr: 0.297 0.624 0.041
Pr: 0.703 0.376 0.959
Pr: 0.950 0.619 0.703
Sm: 0.125 0.123 0.871
Sm: 0.209 0.879 0.459
Sm: 0.461 0.135 0.216
Sm: 0.539 0.865 0.784
Sm: 0.791 0.121 0.541
Sm: 0.875 0.877 0.129
Sc: 0.376 0.373 0.621
Sc: 0.624 0.627 0.379



For Pm4Y6Tm, DFT lattice parameters and positions (GGA-PBE) gives the calculated X-ray diffraction stick pattern in this record (Cu Ka).

Largest 10 diffraction maxima, sorted by position, 2θ from 10° to 90°:
| 2θ/deg | Rel. int. |
| --- | --- |
| 20.63 | 15 |
| 30.13 | 63 |
| 30.35 | 46 |
| 31.02 | 61 |
| 31.67 | 100 |
| 31.87 | 13 |
| 33.03 | 39 |
| 43.95 | 33 |
| 55.60 | 20 |
| 55.73 | 21 |

Crystal structure
a b c (Å): 5.651 5.651 25.910
angles (deg): 90.00 90.00 118.65
Atoms (fractional coordinates):
Pm: 0.029 0.971 0.622
Pm: 0.029 0.971 0.878
Pm: 0.343 0.657 0.545
Pm: 0.343 0.657 0.955
Pm: 0.657 0.343 0.045
Pm: 0.657 0.343 0.455
Pm: 0.971 0.029 0.122
Pm: 0.971 0.029 0.378
Y: 0.000 0.000 0.000
Y: 0.000 0.000 0.500
Y: 0.018 0.982 0.750
Y: 0.311 0.689 0.107
Y: 0.311 0.689 0.393
Y: 0.354 0.646 0.683
Y: 0.354 0.646 0.817
Y: 0.646 0.354 0.183
Y: 0.646 0.354 0.317
Y: 0.689 0.311 0.607
Y: 0.689 0.311 0.893
Y: 0.982 0.018 0.250
Tm: 0.316 0.684 0.250
Tm: 0.684 0.316 0.750



For CsNdTe2Au, DFT lattice parameters and positions (GGA-PBE) gives the calculated X-ray diffraction stick pattern in this record (Cu Ka).

Largest 10 diffraction maxima, sorted by position, 2θ from 10° to 90°:
| 2θ/deg | Rel. int. |
| --- | --- |
| 21.52 | 49 |
| 23.26 | 100 |
| 26.15 | 51 |
| 27.94 | 62 |
| 30.03 | 82 |
| 31.71 | 52 |
| 35.38 | 43 |
| 36.98 | 44 |
| 37.79 | 54 |
| 38.90 | 55 |

Crystal structure
a b c (Å): 9.363 5.038 8.666
angles (deg): 90.00 98.49 90.00
Atoms (fractional coordinates):
Cs: 0.000 0.178 0.250
Cs: 0.000 0.822 0.750
Nd: 0.500 0.495 0.750
Nd: 0.500 0.505 0.250
Te: 0.269 0.320 0.965
Te: 0.269 0.680 0.465
Te: 0.731 0.320 0.535
Te: 0.731 0.680 0.035
Au: 0.500 0.000 0.000
Au: 0.500 0.000 0.500



For K8Bi2Sb, DFT lattice parameters and positions (GGA-PBE) gives the calculated X-ray diffraction stick pattern in this record (Cu Ka).

Largest 10 diffraction maxima, sorted by position, 2θ from 10° to 90°:
| 2θ/deg | Rel. int. |
| --- | --- |
| 17.35 | 69 |
| 17.96 | 52 |
| 20.46 | 34 |
| 28.32 | 20 |
| 28.99 | 100 |
| 29.86 | 32 |
| 33.74 | 38 |
| 34.23 | 20 |
| 34.74 | 30 |
| 45.78 | 23 |

Crystal structure
a b c (Å): 10.836 10.836 5.985
angles (deg): 106.01 106.01 121.50
Atoms (fractional coordinates):
K: 0.000 0.000 0.000
K: 0.199 0.881 0.537
K: 0.281 0.481 0.380
K: 0.357 0.756 0.054
K: 0.481 0.281 0.380
K: 0.686 0.686 0.190
K: 0.756 0.357 0.054
K: 0.881 0.199 0.537
Bi: 0.614 0.936 0.772
Bi: 0.936 0.614 0.772
Sb: 0.275 0.275 0.775



For BeZn2Pd8, DFT lattice parameters and positions (GGA-PBE) gives the calculated X-ray diffraction stick pattern in this record (Cu Ka).

Largest 10 diffraction maxima, sorted by position, 2θ from 10° to 90°:
| 2θ/deg | Rel. int. |
| --- | --- |
| 35.34 | 27 |
| 37.16 | 12 |
| 38.83 | 56 |
| 40.49 | 71 |
| 41.25 | 66 |
| 41.89 | 14 |
| 42.17 | 100 |
| 44.47 | 43 |
| 55.42 | 15 |
| 75.82 | 17 |

Crystal structure
a b c (Å): 7.237 7.237 5.708
angles (deg): 109.30 109.30 35.21
Atoms (fractional coordinates):
Be: 0.000 0.000 0.000
Zn: 0.308 0.308 0.318
Zn: 0.692 0.692 0.682
Pd: 0.108 0.108 0.415
Pd: 0.148 0.148 0.921
Pd: 0.319 0.319 0.774
Pd: 0.482 0.482 0.239
Pd: 0.518 0.518 0.761
Pd: 0.681 0.681 0.226
Pd: 0.852 0.852 0.079
Pd: 0.892 0.892 0.585



For Ca3La3Sn4, DFT lattice parameters and positions (GGA-PBE) gives the calculated X-ray diffraction stick pattern in this record (Cu Ka).

Largest 10 diffraction maxima, sorted by position, 2θ from 10° to 90°:
| 2θ/deg | Rel. int. |
| --- | --- |
| 15.15 | 21 |
| 28.65 | 16 |
| 30.66 | 100 |
| 34.27 | 24 |
| 37.99 | 16 |
| 39.26 | 10 |
| 43.81 | 15 |
| 52.08 | 14 |
| 63.64 | 7 |
| 64.12 | 12 |

Crystal structure
a b c (Å): 4.737 8.274 8.274
angles (deg): 90.07 90.00 90.00
Atoms (fractional coordinates):
Ca: 0.000 0.000 0.000
Ca: 0.500 0.325 0.827
Ca: 0.500 0.827 0.325
La: 0.000 0.152 0.500
La: 0.000 0.500 0.152
La: 0.000 0.656 0.656
Sn: 0.500 0.202 0.202
Sn: 0.500 0.452 0.452
Sn: 0.500 0.701 0.952
Sn: 0.500 0.952 0.701



For NaTh2Tl9, DFT lattice parameters and positions (GGA-PBE) gives the calculated X-ray diffraction stick pattern in this record (Cu Ka).

Largest 10 diffraction maxima, sorted by position, 2θ from 10° to 90°:
| 2θ/deg | Rel. int. |
| --- | --- |
| 32.01 | 100 |
| 36.76 | 17 |
| 37.32 | 33 |
| 53.39 | 24 |
| 53.81 | 12 |
| 63.24 | 14 |
| 64.00 | 28 |
| 66.94 | 12 |
| 87.66 | 12 |
| 88.34 | 6 |

Crystal structure
a b c (Å): 4.819 4.819 14.671
angles (deg): 90.00 90.00 90.00
Atoms (fractional coordinates):
Na: 0.000 0.000 0.000
Th: 0.000 0.000 0.341
Th: 0.000 0.000 0.659
Tl: 0.000 0.500 0.166
Tl: 0.000 0.500 0.500
Tl: 0.000 0.500 0.834
Tl: 0.500 0.000 0.166
Tl: 0.500 0.000 0.500
Tl: 0.500 0.000 0.834
Tl: 0.500 0.500 0.000
Tl: 0.500 0.500 0.331
Tl: 0.500 0.500 0.669